Entry 1:
UB2Ir2: theoretical X-ray diffraction stick pattern (Cu Ka), based on DFT lattice parameters and positions (PBE).

Peak list (10 most intense, 10° ≤ 2θ ≤ 90°, in order of rising 2θ)
hkl 1 1 0, 32.57 deg, rel. 29.7; hkl 1 1 -1, 33.75 deg, rel. 31.9; hkl 1 1 1, 34.56 deg, rel. 100.0; hkl 1 0 -3, 36.98 deg, rel. 32.5; hkl 1 1 -2, 37.85 deg, rel. 97.0; hkl 0 1 3, 38.63 deg, rel. 75.0; hkl 1 0 3, 39.18 deg, rel. 37.8; hkl 1 1 2, 39.30 deg, rel. 36.5; hkl 2 0 0, 45.80 deg, rel. 38.8; hkl 0 2 0, 47.63 deg, rel. 52.2

Cell and atoms:
Cell lengths 3.969, 3.818, 8.842 Å; angles 90.00, 93.33, 90.00 degrees
Space group P2_1/m (No. 11)
Asymmetric unit:
U 0.221 0.250 0.249 x2
B 0.167 0.750 0.005 x2
B 0.269 0.250 0.643 x2
Ir 0.250 0.750 0.501 x2
Ir 0.324 0.250 0.899 x2

Entry 2:
CaYCu2Si2: theoretical X-ray diffraction stick pattern (Cu Ka), based on DFT lattice parameters and positions (PBE).

Peak list (10 most intense, 10° ≤ 2θ ≤ 90°, in order of rising 2θ)
hkl 0 0 1, 10.98 deg, rel. 15.0; hkl 0 1 1, 27.47 deg, rel. 21.3; hkl 0 1 2, 33.66 deg, rel. 100.0; hkl 1 0 3, 42.20 deg, rel. 9.2; hkl 1 1 0, 44.22 deg, rel. 46.0; hkl 0 0 4, 44.99 deg, rel. 14.1; hkl 2 0 2, 56.70 deg, rel. 20.7; hkl 1 1 4, 64.92 deg, rel. 26.6; hkl 1 2 2, 74.60 deg, rel. 17.5; hkl 0 1 6, 75.72 deg, rel. 8.0

Cell and atoms:
Cell lengths 4.0961, 4.0961, 8.0593 Å; angles 90.00, 90.00, 120.00 degrees
Space group P-3m1 (No. 164)
Asymmetric unit:
Ca 0.0000 0.0000 0.0000 x1
Y 0.0000 0.0000 0.5000 x1
Cu 0.3333 0.6667 0.7426 x2
Si 0.3333 0.6667 0.2621 x2

Entry 3:
ThNiMo: theoretical X-ray diffraction stick pattern (Cu Ka), based on DFT lattice parameters and positions (PBE).

Peak list (10 most intense, 10° ≤ 2θ ≤ 90°, in order of rising 2θ)
hkl 1 0 3, 28.81 deg, rel. 100.0; hkl 0 0 6, 32.66 deg, rel. 44.7; hkl 1 1 0, 33.74 deg, rel. 37.0; hkl 1 1 2, 35.51 deg, rel. 91.2; hkl 1 0 5, 36.29 deg, rel. 84.5; hkl 1 1 4, 40.42 deg, rel. 60.4; hkl 2 0 0, 48.46 deg, rel. 55.2; hkl 1 0 9, 55.94 deg, rel. 33.3; hkl 2 0 6, 59.67 deg, rel. 32.4; hkl 2 1 5, 62.03 deg, rel. 35.7

Cell and atoms:
Cell lengths 3.757, 3.757, 16.451 Å; angles 90.00, 90.00, 90.00 degrees
Space group I4/mmm (No. 139)
Asymmetric unit:
Th 0.000 0.000 0.177 x4
Ni 0.000 0.000 0.384 x4
Mo 0.000 0.500 0.000 x4

Entry 4:
BaTi4Bi4O15: theoretical X-ray diffraction stick pattern (Cu Ka), based on DFT lattice parameters and positions (PBE).

Peak list (10 most intense, 10° ≤ 2θ ≤ 90°, in order of rising 2θ)
hkl 0 0 6, 12.98 deg, rel. 14.0; hkl 1 0 1, 22.93 deg, rel. 20.0; hkl 1 0 7, 27.51 deg, rel. 14.3; hkl 1 0 9, 30.21 deg, rel. 100.0; hkl 1 1 0, 32.49 deg, rel. 44.6; hkl 1 1 10, 39.43 deg, rel. 24.9; hkl 2 0 0, 46.62 deg, rel. 27.3; hkl 1 1 16, 48.58 deg, rel. 11.7; hkl 1 1 18, 52.17 deg, rel. 16.3; hkl 2 1 9, 56.56 deg, rel. 35.0

Cell and atoms:
Cell lengths 3.897, 3.897, 40.913 Å; angles 90.00, 90.00, 90.00 degrees
Space group I4/mmm (No. 139)
Asymmetric unit:
Ba 0.000 0.000 0.000 x2
Ti 0.000 0.000 0.348 x4
Ti 0.000 0.000 0.449 x4
Bi 0.000 0.000 0.104 x4
Bi 0.000 0.000 0.219 x4
O 0.000 0.000 0.304 x4
O 0.000 0.000 0.402 x4
O 0.000 0.000 0.500 x2
O 0.000 0.500 0.051 x8
O 0.000 0.500 0.142 x8
O 0.000 0.500 0.250 x4